For NaFe2Co2, a cell relaxed with PBE gives the computed X-ray powder pattern in this record (copper Kα).

Atomic structure:
abc: 7.371 7.371 2.475
angles: 90.00 90.00 90.00
Space group P4/mbm (No. 127)
Inequivalent atoms, fractional coordinates:
Na1 0.000 0.000 0.000 x2
Fe1 0.146 0.354 0.500 x4
Co1 0.145 0.645 0.000 x4

Top 10 peaks for 15 to 90 degrees two-theta, by angle:
- 17.0°, rel. 44.3
- 38.6°, rel. 63.1
- 45.8°, rel. 100.0
- 49.5°, rel. 19.9
- 52.7°, rel. 15.3
- 58.6°, rel. 10.9
- 64.3°, rel. 8.6
- 72.6°, rel. 7.0
- 80.1°, rel. 26.1
- 89.7°, rel. 9.2


For Nb2Fe5Co2Ru, a cell relaxed with PBE gives the computed X-ray powder pattern in this record (copper Kα).

Atomic structure:
abc: 8.304 8.304 3.750
angles: 90.00 90.00 90.00
Space group P4/mbm (No. 127)
Inequivalent atoms, fractional coordinates:
Nb1 0.173 0.327 0.000 x4
Fe1 0.000 0.500 0.500 x2
Fe2 0.062 0.795 0.500 x8
Co1 0.125 0.625 0.000 x4
Ru1 0.000 0.000 0.000 x2

Top 10 peaks for 15 to 90 degrees two-theta, by angle:
- 34.0°, rel. 14.4
- 34.1°, rel. 9.6
- 39.0°, rel. 25.7
- 42.0°, rel. 100.0
- 45.0°, rel. 27.0
- 46.3°, rel. 24.4
- 48.6°, rel. 27.9
- 49.1°, rel. 11.9
- 68.4°, rel. 14.4
- 86.2°, rel. 11.3


For Nb2ZnFe2Co5, a cell relaxed with PBE gives the computed X-ray powder pattern in this record (copper Kα).

Atomic structure:
abc: 8.222 8.222 3.745
angles: 90.00 90.00 90.00
Space group P4/mbm (No. 127)
Inequivalent atoms, fractional coordinates:
Nb1 0.166 0.334 0.000 x4
Zn1 0.000 0.000 0.000 x2
Fe1 0.132 0.632 0.000 x4
Co1 0.000 0.500 0.500 x2
Co2 0.070 0.797 0.500 x8

Top 10 peaks for 15 to 90 degrees two-theta, by angle:
- 34.2°, rel. 19.1
- 39.2°, rel. 16.2
- 42.3°, rel. 100.0
- 45.5°, rel. 25.1
- 46.6°, rel. 21.0
- 46.9°, rel. 12.2
- 48.6°, rel. 28.4
- 49.6°, rel. 13.2
- 68.8°, rel. 13.6
- 86.5°, rel. 11.2


For Nd2Fe4Co13, a cell relaxed with PBE gives the computed X-ray powder pattern in this record (copper Kα).

Atomic structure:
abc: 8.4069 8.4069 12.2899
angles: 90.00 90.00 120.00
Space group R3m (No. 160, hexagonal axes)
Inequivalent atoms, fractional coordinates:
Nd1 0.0000 0.0000 0.0000 x3
Nd2 0.0000 0.0000 0.3128 x3
Fe1 0.0000 0.0000 0.5633 x3
Fe2 0.1689 0.3377 0.4901 x9
Co1 0.0000 0.0000 0.7526 x3
Co2 0.0001 0.2854 0.6567 x18
Co3 0.9998 0.4999 0.5001 x9
Co4 0.1681 0.3362 0.1455 x9

Top 10 peaks for 15 to 90 degrees two-theta, by angle:
- 30.5°, rel. 38.1
- 37.0°, rel. 39.1
- 38.3°, rel. 32.0
- 43.0°, rel. 65.6
- 43.3°, rel. 100.0
- 44.2°, rel. 52.7
- 48.7°, rel. 23.9
- 62.7°, rel. 28.9
- 63.4°, rel. 27.2
- 80.7°, rel. 17.0


For NdFeCo10, a cell relaxed with PBE gives the computed X-ray powder pattern in this record (copper Kα).

Atomic structure:
abc: 4.039 4.736 8.402
angles: 90.00 90.00 90.00
Space group Pmmm (No. 47)
Inequivalent atoms, fractional coordinates:
Nd1 0.000 0.000 0.000 x1
Fe1 0.000 0.500 0.500 x1
Co1 0.000 0.000 0.353 x2
Co2 0.000 0.500 0.209 x2
Co3 0.500 0.000 0.500 x1
Co4 0.500 0.254 0.260 x4
Co5 0.500 0.500 0.000 x1

Top 10 peaks for 15 to 90 degrees two-theta, by angle:
- 31.0°, rel. 45.5
- 37.3°, rel. 22.2
- 43.1°, rel. 25.7
- 43.7°, rel. 100.0
- 43.9°, rel. 32.7
- 44.3°, rel. 56.2
- 44.9°, rel. 55.4
- 49.6°, rel. 22.0
- 64.6°, rel. 19.4
- 72.6°, rel. 19.8


For NdSmFe4Co13, a cell relaxed with PBE gives the computed X-ray powder pattern in this record (copper Kα).

Atomic structure:
abc: 8.3895 8.3895 12.2729
angles: 90.00 90.00 120.00
Space group R3m (No. 160, hexagonal axes)
Inequivalent atoms, fractional coordinates:
Nd1 0.0000 0.0000 0.0000 x3
Sm1 0.0000 0.0000 0.6868 x3
Fe1 0.0000 0.0000 0.4371 x3
Fe2 0.0040 0.5020 0.8437 x9
Co1 0.0000 0.0000 0.2477 x3
Co2 0.0001 0.2863 0.3436 x18
Co3 0.0010 0.5005 0.4997 x9
Co4 0.0025 0.5012 0.1881 x9

Top 10 peaks for 15 to 90 degrees two-theta, by angle:
- 30.5°, rel. 38.5
- 37.1°, rel. 39.5
- 38.4°, rel. 31.7
- 43.1°, rel. 64.8
- 43.4°, rel. 100.0
- 44.3°, rel. 52.1
- 48.8°, rel. 22.8
- 62.9°, rel. 28.4
- 63.5°, rel. 26.8
- 80.9°, rel. 17.0


For FeCoNi4, a cell relaxed with PBE gives the computed X-ray powder pattern in this record (copper Kα).

Atomic structure:
abc: 4.904 13.552 4.122
angles: 90.00 90.10 90.00
Space group C2/c (No. 15)
Inequivalent atoms, fractional coordinates:
Fe1 0.000 0.200 0.250 x4
Co1 0.000 0.302 0.750 x4
Ni1 0.250 0.041 0.236 x8
Ni2 0.250 0.140 0.743 x8

Top 10 peaks for 15 to 90 degrees two-theta, by angle:
- 36.7°, rel. 15.2
- 39.1°, rel. 44.6
- 43.9°, rel. 65.7
- 45.1°, rel. 30.9
- 45.8°, rel. 100.0
- 51.0°, rel. 86.6
- 60.2°, rel. 11.2
- 81.1°, rel. 14.9
- 82.1°, rel. 15.4
- 86.1°, rel. 12.6


For FeCo5Ni4, a cell relaxed with PBE gives the computed X-ray powder pattern in this record (copper Kα).

Atomic structure:
abc: 3.993 7.571 7.910
angles: 90.00 90.00 90.00
Space group Immm (No. 71)
Inequivalent atoms, fractional coordinates:
Fe1 0.000 0.000 0.000 x2
Co1 0.000 0.274 0.181 x8
Co2 0.000 0.500 0.000 x2
Ni1 0.000 0.000 0.332 x4
Ni2 0.000 0.293 0.500 x4

Top 10 peaks for 15 to 90 degrees two-theta, by angle:
- 36.1°, rel. 12.9
- 42.4°, rel. 22.4
- 45.4°, rel. 33.2
- 47.8°, rel. 100.0
- 48.1°, rel. 18.9
- 68.3°, rel. 12.0
- 71.6°, rel. 6.8
- 85.7°, rel. 16.1
- 89.0°, rel. 7.5
- 89.3°, rel. 7.3


For Fe5Co2Ni2, a cell relaxed with PBE gives the computed X-ray powder pattern in this record (copper Kα).

Atomic structure:
abc: 14.577 6.691 4.285
angles: 90.00 90.00 90.00
Space group Ima2 (No. 46)
Inequivalent atoms, fractional coordinates:
Fe1 0.100 0.170 0.000 x8
Fe2 0.163 0.546 0.000 x8
Fe3 0.250 0.250 0.250 x4
Co1 0.000 0.000 0.499 x4
Co2 0.250 0.605 0.500 x4
Ni1 0.067 0.663 0.499 x8

Top 10 peaks for 15 to 90 degrees two-theta, by angle:
- 40.9°, rel. 25.5
- 42.2°, rel. 53.9
- 45.0°, rel. 100.0
- 45.9°, rel. 75.7
- 46.2°, rel. 40.3
- 46.4°, rel. 41.4
- 54.9°, rel. 13.5
- 79.1°, rel. 16.4
- 79.7°, rel. 12.9
- 83.4°, rel. 14.3


For Fe6CoNi2, a cell relaxed with PBE gives the computed X-ray powder pattern in this record (copper Kα).

Atomic structure:
abc: 14.696 7.086 4.177
angles: 90.00 102.50 90.00
Space group C2/c (No. 15)
Inequivalent atoms, fractional coordinates:
Fe1 0.081 0.078 0.254 x8
Fe2 0.084 0.411 0.349 x8
Fe3 0.168 0.257 0.898 x8
Co1 0.000 0.257 0.750 x4
Ni1 0.246 0.081 0.509 x8

Top 10 peaks for 15 to 90 degrees two-theta, by angle:
- 37.6°, rel. 11.6
- 43.4°, rel. 44.6
- 44.1°, rel. 100.0
- 44.2°, rel. 44.0
- 45.8°, rel. 42.1
- 46.9°, rel. 36.9
- 62.8°, rel. 12.3
- 65.6°, rel. 12.3
- 67.0°, rel. 10.1
- 81.5°, rel. 13.5


For Fe2Co8Ni, a cell relaxed with PBE gives the computed X-ray powder pattern in this record (copper Kα).

Atomic structure:
abc: 2.492 6.133 8.307
angles: 103.89 98.59 90.09
Space group P-1 (No. 2)
Inequivalent atoms, fractional coordinates:
Fe1 0.225 0.311 0.451 x2
Co1 0.046 0.865 0.093 x2
Co2 0.136 0.587 0.271 x2
Co3 0.320 0.052 0.639 x2
Co4 0.411 0.777 0.822 x2
Ni1 0.500 0.500 0.000 x1

Top 7 peaks for 15 to 90 degrees two-theta, by angle:
- 44.3°, rel. 100.0
- 51.4°, rel. 15.5
- 51.8°, rel. 30.6
- 76.0°, rel. 13.2
- 76.0°, rel. 4.4
- 76.2°, rel. 4.4
- 76.4°, rel. 4.4


For Fe6CoNi10, a cell relaxed with PBE gives the computed X-ray powder pattern in this record (copper Kα).

Atomic structure:
abc: 6.837 11.874 4.897
angles: 90.00 90.21 90.00
Space group C2/m (No. 12)
Inequivalent atoms, fractional coordinates:
Fe1 0.154 0.000 0.177 x4
Fe2 0.173 0.327 0.178 x8
Co1 0.000 0.500 0.000 x2
Ni1 0.000 0.167 0.000 x4
Ni2 0.000 0.167 0.500 x4
Ni3 0.153 0.347 0.666 x8
Ni4 0.195 0.000 0.666 x4

Top 10 peaks for 15 to 90 degrees two-theta, by angle:
- 44.4°, rel. 6.0
- 45.6°, rel. 100.0
- 45.9°, rel. 93.1
- 66.6°, rel. 18.0
- 66.9°, rel. 8.9
- 83.9°, rel. 9.8
- 84.1°, rel. 5.0
- 84.7°, rel. 16.2
- 84.9°, rel. 15.7
- 85.2°, rel. 3.8